Entry 1:
Simulated PXRD pattern
Compound: LuPd3
Radiation: Cu Ka
Structure: a crystal structure in the Materials Project, relaxed with GGA-PBE
Intensities are scaled so that the largest is 100.

Top 8 peaks for 2θ = 5–70°, in order of rising 2θ:
- 2θ = 21.77°, d = 4.082 Å, I = 5.0, hkl 1 0 0
- 2θ = 30.99°, d = 2.886 Å, I = 4.3, hkl 1 1 0
- 2θ = 38.19°, d = 2.356 Å, I = 100.0, hkl 1 1 1
- 2θ = 44.39°, d = 2.041 Å, I = 48.9, hkl 2 0 0
- 2θ = 49.97°, d = 1.825 Å, I = 2.5, hkl 2 1 0
- 2θ = 55.12°, d = 1.666 Å, I = 1.9, hkl 2 1 1
- 2θ = 64.58°, d = 1.443 Å, I = 31.6, hkl 2 2 0
- 2θ = 69.03°, d = 1.361 Å, I = 1.2, hkl 3 0 0

Unit cell a=4.082 b=4.082 c=4.082 alpha=90.00 beta=90.00 gamma=90.00
Space group Pm-3m (No. 221)
Inequivalent atoms, fractional coordinates:
Lu 0.000 0.000 0.000 [1 per cell]
Pd 0.000 0.500 0.500 [3 per cell]

Entry 2:
Simulated PXRD pattern
Compound: MgTlCl3
Radiation: Cu Ka
Structure: a crystal structure in the Materials Project, relaxed with GGA-PBE
Intensities are scaled so that the largest is 100.

Top 8 peaks for 2θ = 5–70°, in order of rising 2θ:
- 2θ = 17.60°, d = 5.039 Å, I = 92.9, hkl 0 2 0
- 2θ = 24.98°, d = 3.565 Å, I = 100.0, hkl 1 2 1
- 2θ = 30.60°, d = 2.921 Å, I = 53.6, hkl 2 2 0
- 2θ = 30.87°, d = 2.897 Å, I = 65.6, hkl 0 2 2
- 2θ = 35.54°, d = 2.526 Å, I = 33.3, hkl 0 4 0
- 2θ = 35.69°, d = 2.516 Å, I = 47.6, hkl 2 0 2
- 2θ = 44.25°, d = 2.047 Å, I = 26.9, hkl 1 2 3
- 2θ = 51.25°, d = 1.783 Å, I = 29.9, hkl 2 4 2

Unit cell a=7.161 b=10.105 c=7.071 alpha=90.00 beta=90.00 gamma=90.00
Space group Pnma (No. 62)
Inequivalent atoms, fractional coordinates:
Mg 0.000 0.000 0.000 [4 per cell]
Tl 0.051 0.250 0.483 [4 per cell]
Cl 0.001 0.750 0.051 [4 per cell]
Cl 0.218 0.525 0.718 [8 per cell]